For Na2Bi3Pd5, DFT lattice parameters and positions (GGA-PBE) gives the computed powder diffractogram in this record (Cu Kα (λ = 1.5418 Å)).

Structure:
```
data_Na2Bi3Pd5
_space_group_name_H-M_alt 'I b a m'
_space_group_IT_number 72
_space_group_name_Hall '-I 2 2c'
_cell_length_a 9.5900
_cell_length_b 12.0530
_cell_length_c 8.1825
_cell_angle_alpha 90.00
_cell_angle_beta 90.00
_cell_angle_gamma 90.00
loop_
_atom_site_label
_atom_site_type_symbol
_atom_site_fract_x
_atom_site_fract_y
_atom_site_fract_z
Na1 Na 0.2397 0.1298 0.0000
Bi1 Bi 0.0000 0.5000 0.2500
Bi2 Bi 0.1151 0.1292 0.5000
Pd1 Pd 0.0000 0.0000 0.2500
Pd2 Pd 0.0000 0.2450 0.2500
Pd3 Pd 0.1020 0.3770 0.0000
```

Principal peaks in the range 2θ from 5° to 70°, most intense first:
37.05 deg, 2.426 Å, I 1000, hkl 0 4 2; 20.51 deg, 4.330 Å, I 755, hkl 1 2 1; 18.50 deg, 4.795 Å, I 697, hkl 2 0 0; 33.57 deg, 2.669 Å, I 630, hkl 3 2 1; 43.76 deg, 2.069 Å, I 492, hkl 4 0 2; 48.52 deg, 1.876 Å, I 363, hkl 4 4 0

For CsYSe2, DFT lattice parameters and positions (GGA-PBE) gives the computed powder diffractogram in this record (Cu Kα (λ = 1.5418 Å)).

Structure:
```
data_CsYSe2
_space_group_name_H-M_alt 'R 3 m'
_space_group_IT_number 160
_space_group_name_Hall 'R 3 -2"'
_cell_length_a 4.2557
_cell_length_b 4.2557
_cell_length_c 25.3588
_cell_angle_alpha 90.00
_cell_angle_beta 90.00
_cell_angle_gamma 120.00
loop_
_atom_site_label
_atom_site_type_symbol
_atom_site_fract_x
_atom_site_fract_y
_atom_site_fract_z
Cs1 Cs 0.0000 0.0000 0.0000
Y1 Y 0.0000 0.0000 0.1688
Se1 Se 0.0000 0.0000 0.5640
Se2 Se 0.0000 0.0000 0.7736
```

Principal peaks in the range 2θ from 5° to 70°, most intense first:
29.97 deg, 2.981 Å, I 1000, hkl 0 1 5; 42.48 deg, 2.128 Å, I 477, hkl 1 1 0; 28.00 deg, 3.186 Å, I 259, hkl 1 0 4; 34.72 deg, 2.584 Å, I 234, hkl 1 0 7; 25.16 deg, 3.539 Å, I 223, hkl 0 1 2; 24.41 deg, 3.647 Å, I 201, hkl 1 0 1

For AcTb5Pr2Y, DFT lattice parameters and positions (GGA-PBE) gives the computed powder diffractogram in this record (Cu Kα (λ = 1.5418 Å)).

Structure:
```
data_AcTb5Pr2Y
_space_group_name_H-M_alt 'I 4/m c m'
_space_group_IT_number 140
_space_group_name_Hall '-I 4 2c'
_cell_length_a 8.8969
_cell_length_b 8.8969
_cell_length_c 15.7872
_cell_angle_alpha 90.00
_cell_angle_beta 90.00
_cell_angle_gamma 90.00
loop_
_atom_site_label
_atom_site_type_symbol
_atom_site_fract_x
_atom_site_fract_y
_atom_site_fract_z
Ac1 Ac 0.0000 0.0000 0.2500
Tb1 Tb 0.0000 0.0000 0.0000
Tb2 Tb 0.2078 0.2922 0.1340
Pr1 Pr 0.1175 0.3825 0.5000
Y1 Y 0.0000 0.5000 0.2500
```

Principal peaks in the range 2θ from 5° to 70°, most intense first:
30.27 deg, 2.952 Å, I 1000, hkl 2 0 4; 28.37 deg, 3.146 Å, I 497, hkl 2 2 0; 28.12 deg, 3.174 Å, I 449, hkl 2 1 3; 31.81 deg, 2.813 Å, I 235, hkl 3 1 0; 51.44 deg, 1.776 Å, I 215, hkl 4 2 4; 42.25 deg, 2.139 Å, I 201, hkl 4 0 2

For Tb13Er3, DFT lattice parameters and positions (GGA-PBE) gives the computed powder diffractogram in this record (Cu Kα (λ = 1.5418 Å)).

Structure:
```
data_Tb13Er3
_space_group_name_H-M_alt 'A m m 2'
_space_group_IT_number 38
_space_group_name_Hall 'A 2 -2'
_cell_length_a 7.2520
_cell_length_b 11.2580
_cell_length_c 12.5306
_cell_angle_alpha 90.00
_cell_angle_beta 90.00
_cell_angle_gamma 90.00
loop_
_atom_site_label
_atom_site_type_symbol
_atom_site_fract_x
_atom_site_fract_y
_atom_site_fract_z
Tb1 Tb 0.0000 0.0000 0.9999
Tb2 Tb 0.0000 0.0000 0.4990
Tb3 Tb 0.0000 0.2487 0.1666
Tb4 Tb 0.2500 0.0000 0.7491
Tb5 Tb 0.2504 0.2490 0.4164
Tb6 Tb 0.5000 0.0000 0.0000
Tb7 Tb 0.5000 0.2495 0.1664
Er1 Er 0.2504 0.0000 0.2500
Er2 Er 0.5000 0.0000 0.4986
```

Principal peaks in the range 2θ from 5° to 70°, most intense first:
32.68 deg, 2.740 Å, I 1000, hkl 2 2 2; 31.79 deg, 2.814 Å, I 239, hkl 0 4 0; 28.46 deg, 3.136 Å, I 239, hkl 0 0 4; 60.83 deg, 1.523 Å, I 226, hkl 4 4 0; 57.21 deg, 1.610 Å, I 204, hkl 2 6 2; 50.39 deg, 1.811 Å, I 199, hkl 4 0 0

For Ba8As3Cl4, DFT lattice parameters and positions (GGA-PBE) gives the computed powder diffractogram in this record (Cu Kα (λ = 1.5418 Å)).

Structure:
```
data_Ba8As3Cl4
_space_group_name_H-M_alt 'R -3 m'
_space_group_IT_number 166
_space_group_name_Hall '-R 3 2"'
_cell_length_a 9.4514
_cell_length_b 9.4514
_cell_length_c 24.5930
_cell_angle_alpha 90.00
_cell_angle_beta 90.00
_cell_angle_gamma 120.00
loop_
_atom_site_label
_atom_site_type_symbol
_atom_site_fract_x
_atom_site_fract_y
_atom_site_fract_z
Ba1 Ba 0.0000 0.0000 0.2380
Ba2 Ba 0.0105 0.5052 0.7591
As1 As 0.0000 0.5000 0.5000
Cl1 Cl 0.0000 0.0000 0.0000
Cl2 Cl 0.0000 0.0000 0.3625
Cl3 Cl 0.0000 0.0000 0.5000
```

Principal peaks in the range 2θ from 5° to 70°, most intense first:
26.16 deg, 3.407 Å, I 1000, hkl 0 2 4; 22.90 deg, 3.883 Å, I 486, hkl 2 0 2; 38.08 deg, 2.363 Å, I 474, hkl 2 2 0; 36.56 deg, 2.458 Å, I 431, hkl 2 0 8; 10.79 deg, 8.198 Å, I 212, hkl 0 0 3; 46.79 deg, 1.942 Å, I 199, hkl 4 0 4

For TcNi7Pt4, DFT lattice parameters and positions (GGA-PBE) gives the computed powder diffractogram in this record (Cu Kα (λ = 1.5418 Å)).

Structure:
```
data_TcNi7Pt4
_space_group_name_H-M_alt 'C 1 2/m 1'
_space_group_IT_number 12
_space_group_name_Hall '-C 2y'
_cell_length_a 9.0002
_cell_length_b 4.4225
_cell_length_c 8.9564
_cell_angle_alpha 90.00
_cell_angle_beta 113.08
_cell_angle_gamma 90.00
loop_
_atom_site_label
_atom_site_type_symbol
_atom_site_fract_x
_atom_site_fract_y
_atom_site_fract_z
Tc1 Tc 0.0000 0.0000 0.0000
Ni1 Ni 0.0000 0.5000 0.0000
Ni2 Ni 0.1298 0.0000 0.4752
Ni3 Ni 0.1490 0.5000 0.6148
Ni4 Ni 0.2188 0.5000 0.9139
Pt1 Pt 0.0939 0.5000 0.3019
Pt2 Pt 0.1297 0.0000 0.7692
```

Principal peaks in the range 2θ from 5° to 70°, most intense first:
43.68 deg, 2.072 Å, I 1000, hkl 1 1 3; 40.81 deg, 2.211 Å, I 776, hkl 0 2 0; 40.56 deg, 2.224 Å, I 588, hkl 4 0 -1; 27.04 deg, 3.298 Å, I 515, hkl 1 1 1; 41.54 deg, 2.174 Å, I 490, hkl 3 1 -3; 36.24 deg, 2.479 Å, I 446, hkl 3 1 -1

For La2TaAl, DFT lattice parameters and positions (GGA-PBE) gives the computed powder diffractogram in this record (Cu Kα (λ = 1.5418 Å)).

Structure:
```
data_La2TaAl
_space_group_name_H-M_alt 'I 4/m m m'
_space_group_IT_number 139
_space_group_name_Hall '-I 4 2'
_cell_length_a 4.6728
_cell_length_b 4.6728
_cell_length_c 9.3921
_cell_angle_alpha 90.00
_cell_angle_beta 90.00
_cell_angle_gamma 90.00
loop_
_atom_site_label
_atom_site_type_symbol
_atom_site_fract_x
_atom_site_fract_y
_atom_site_fract_z
La1 La 0.0000 0.5000 0.2500
Ta1 Ta 0.0000 0.0000 0.0000
Al1 Al 0.0000 0.0000 0.5000
```

Principal peaks in the range 2θ from 5° to 70°, most intense first:
33.15 deg, 2.702 Å, I 1000, hkl 1 1 2; 38.53 deg, 2.336 Å, I 332, hkl 2 0 0; 21.24 deg, 4.184 Å, I 296, hkl 1 0 1; 66.31 deg, 1.410 Å, I 269, hkl 3 1 2; 55.48 deg, 1.656 Å, I 231, hkl 2 0 4; 38.33 deg, 2.348 Å, I 168, hkl 0 0 4

For Ba5Cd24, DFT lattice parameters and positions (GGA-PBE) gives the computed powder diffractogram in this record (Cu Kα (λ = 1.5418 Å)).

Structure:
```
data_Ba5Cd24
_space_group_name_H-M_alt 'I -4 3 m'
_space_group_IT_number 217
_space_group_name_Hall 'I -4 2 3'
_cell_length_a 11.6790
_cell_length_b 11.6790
_cell_length_c 11.6790
_cell_angle_alpha 90.00
_cell_angle_beta 90.00
_cell_angle_gamma 90.00
loop_
_atom_site_label
_atom_site_type_symbol
_atom_site_fract_x
_atom_site_fract_y
_atom_site_fract_z
Ba1 Ba 0.0000 0.0000 0.0000
Ba2 Ba 0.1922 0.1922 0.1922
Cd1 Cd 0.0212 0.3602 0.6398
Cd2 Cd 0.0892 0.0892 0.7172
```

Principal peaks in the range 2θ from 5° to 70°, most intense first:
32.53 deg, 2.753 Å, I 1000, hkl 4 1 1; 58.03 deg, 1.589 Å, I 251, hkl 7 2 1; 36.07 deg, 2.490 Å, I 226, hkl 3 3 2; 55.65 deg, 1.652 Å, I 118, hkl 5 5 0; 39.34 deg, 2.290 Å, I 113, hkl 4 3 1; 37.73 deg, 2.384 Å, I 92, hkl 4 2 2

For PmEr4Pb4, DFT lattice parameters and positions (GGA-PBE) gives the computed powder diffractogram in this record (Cu Kα (λ = 1.5418 Å)).

Structure:
```
data_PmEr4Pb4
_space_group_name_H-M_alt 'P 42/n'
_space_group_IT_number 86
_cell_length_a 9.9925
_cell_length_b 9.9925
_cell_length_c 6.1565
_cell_angle_alpha 90.00
_cell_angle_beta 90.00
_cell_angle_gamma 90.00
loop_
_space_group_symop_operation_xyz
'x,y,z'
'-x,-y,-z'
'-y,x+1/2,z+1/2'
'y,-x+1/2,-z+1/2'
'-x+1/2,-y+1/2,z'
'x+1/2,y+1/2,-z'
'y+1/2,-x,z+1/2'
'-y+1/2,x,-z+1/2'
loop_
_atom_site_label
_atom_site_type_symbol
_atom_site_fract_x
_atom_site_fract_y
_atom_site_fract_z
Pm1 Pm 0.2500 0.2500 0.2500
Er1 Er 0.0938 0.6494 0.1600
Pb1 Pb 0.0366 0.6184 0.6685
```

Principal peaks in the range 2θ from 5° to 70°, most intense first:
28.24 deg, 3.160 Å, I 1000, hkl 1 3 0; 30.38 deg, 2.942 Å, I 434, hkl 1 0 2; 35.52 deg, 2.527 Å, I 324, hkl 2 3 1; 39.88 deg, 2.261 Å, I 317, hkl 3 0 2; 40.37 deg, 2.234 Å, I 292, hkl 4 2 0; 12.53 deg, 7.066 Å, I 245, hkl 1 1 0

For CeTmZr2N4, DFT lattice parameters and positions (GGA-PBE) gives the computed powder diffractogram in this record (Cu Kα (λ = 1.5418 Å)).

Structure:
```
data_CeTmZr2N4
_space_group_name_H-M_alt 'I -4 m 2'
_space_group_IT_number 119
_space_group_name_Hall 'I -4 -2'
_cell_length_a 4.7653
_cell_length_b 4.7653
_cell_length_c 9.5410
_cell_angle_alpha 90.00
_cell_angle_beta 90.00
_cell_angle_gamma 90.00
loop_
_atom_site_label
_atom_site_type_symbol
_atom_site_fract_x
_atom_site_fract_y
_atom_site_fract_z
Ce1 Ce 0.0000 0.0000 0.0000
Tm1 Tm 0.0000 0.5000 0.2500
Zr1 Zr 0.0000 0.0000 0.5000
Zr2 Zr 0.0000 0.5000 0.7500
N1 N 0.0000 0.0000 0.2557
N2 N 0.0000 0.5000 0.5025
```

Principal peaks in the range 2θ from 5° to 70°, most intense first:
32.53 deg, 2.752 Å, I 1000, hkl 1 1 2; 37.74 deg, 2.384 Å, I 778, hkl 2 0 0; 54.44 deg, 1.685 Å, I 518, hkl 2 2 0; 64.87 deg, 1.437 Å, I 432, hkl 1 1 6; 68.14 deg, 1.376 Å, I 171, hkl 2 2 4; 20.84 deg, 4.263 Å, I 112, hkl 1 0 1

For KP2RuRh, DFT lattice parameters and positions (GGA-PBE) gives the computed powder diffractogram in this record (Cu Kα (λ = 1.5418 Å)).

Structure:
```
data_KP2RuRh
_space_group_name_H-M_alt 'I -4 m 2'
_space_group_IT_number 119
_space_group_name_Hall 'I -4 -2'
_cell_length_a 3.9820
_cell_length_b 3.9820
_cell_length_c 12.9399
_cell_angle_alpha 90.00
_cell_angle_beta 90.00
_cell_angle_gamma 90.00
loop_
_atom_site_label
_atom_site_type_symbol
_atom_site_fract_x
_atom_site_fract_y
_atom_site_fract_z
K1 K 0.0000 0.0000 0.0000
P1 P 0.0000 0.0000 0.3437
Ru1 Ru 0.0000 0.5000 0.7500
Rh1 Rh 0.0000 0.5000 0.2500
```

Principal peaks in the range 2θ from 5° to 70°, most intense first:
13.69 deg, 6.470 Å, I 1000, hkl 0 0 2; 34.75 deg, 2.582 Å, I 561, hkl 1 1 2; 53.52 deg, 1.712 Å, I 283, hkl 1 1 6; 42.57 deg, 2.124 Å, I 277, hkl 1 1 4; 45.56 deg, 1.991 Å, I 239, hkl 2 0 0; 27.57 deg, 3.235 Å, I 216, hkl 0 0 4

For Ta2C, DFT lattice parameters and positions (GGA-PBE) gives the computed powder diffractogram in this record (Cu Kα (λ = 1.5418 Å)).

Structure:
```
data_Ta2C
_space_group_name_H-M_alt 'R -3 m'
_space_group_IT_number 166
_space_group_name_Hall '-R 3 2"'
_cell_length_a 3.1322
_cell_length_b 3.1322
_cell_length_c 14.9843
_cell_angle_alpha 90.00
_cell_angle_beta 90.00
_cell_angle_gamma 120.00
loop_
_atom_site_label
_atom_site_type_symbol
_atom_site_fract_x
_atom_site_fract_y
_atom_site_fract_z
Ta1 Ta 0.0000 0.0000 0.2483
C1 C 0.0000 0.0000 0.5000
```

Principal peaks in the range 2θ from 5° to 70°, most intense first:
35.19 deg, 2.551 Å, I 1000, hkl 0 1 2; 41.08 deg, 2.197 Å, I 734, hkl 1 0 4; 35.96 deg, 2.497 Å, I 313, hkl 0 0 6; 58.98 deg, 1.566 Å, I 255, hkl 1 1 0; 60.02 deg, 1.541 Å, I 240, hkl 0 1 8; 17.76 deg, 4.995 Å, I 9, hkl 0 0 3

For K2Pd3Se4, DFT lattice parameters and positions (GGA-PBE) gives the computed powder diffractogram in this record (Cu Kα (λ = 1.5418 Å)).

Structure:
```
data_K2Pd3Se4
_space_group_name_H-M_alt 'F d d d'
_space_group_IT_number 70
_cell_length_a 6.4200
_cell_length_b 11.1934
_cell_length_c 26.6730
_cell_angle_alpha 90.00
_cell_angle_beta 90.00
_cell_angle_gamma 90.00
loop_
_space_group_symop_operation_xyz
'x,y,z'
'-x,-y,-z'
'-x+1/4,-y+1/4,z'
'x+1/4,y+1/4,-z'
'x,-y+1/4,-z+1/4'
'-x,y+1/4,z+1/4'
'-x+1/4,y,-z+1/4'
'x+1/4,-y,z+1/4'
'x,y+1/2,z+1/2'
'-x,-y+1/2,-z+1/2'
'-x+1/4,-y+3/4,z+1/2'
'x+1/4,y+3/4,-z+1/2'
'x,-y+3/4,-z+3/4'
'-x,y+3/4,z+3/4'
'-x+1/4,y+1/2,-z+3/4'
'x+1/4,-y+1/2,z+3/4'
'x+1/2,y,z+1/2'
'-x+1/2,-y,-z+1/2'
'-x+3/4,-y+1/4,z+1/2'
'x+3/4,y+1/4,-z+1/2'
'x+1/2,-y+1/4,-z+3/4'
'-x+1/2,y+1/4,z+3/4'
'-x+3/4,y,-z+3/4'
'x+3/4,-y,z+3/4'
'x+1/2,y+1/2,z'
'-x+1/2,-y+1/2,-z'
'-x+3/4,-y+3/4,z'
'x+3/4,y+3/4,-z'
'x+1/2,-y+3/4,-z+1/4'
'-x+1/2,y+3/4,z+1/4'
'-x+3/4,y+1/2,-z+1/4'
'x+3/4,-y+1/2,z+1/4'
loop_
_atom_site_label
_atom_site_type_symbol
_atom_site_fract_x
_atom_site_fract_y
_atom_site_fract_z
K1 K 0.1250 0.1250 0.0516
Pd1 Pd 0.1250 0.1250 0.3759
Pd2 Pd 0.1250 0.1250 0.6250
Se1 Se 0.1194 0.2913 0.5630
```

Principal peaks in the range 2θ from 5° to 70°, most intense first:
13.28 deg, 6.668 Å, I 1000, hkl 0 0 4; 16.26 deg, 5.451 Å, I 430, hkl 1 1 1; 42.29 deg, 2.137 Å, I 404, hkl 2 2 8; 36.49 deg, 2.462 Å, I 396, hkl 1 3 7; 34.92 deg, 2.569 Å, I 365, hkl 2 2 4; 17.18 deg, 5.161 Å, I 346, hkl 0 2 2